Structure and calculated powder X-ray diffraction pattern of WS (the GGA-PBE geometry in the Materials Project; λ = 1.5418 Å (Cu Kα)).
No peak broadening, texture or thermal motion is included.

The 6 most intense peaks (2θ from 10° to 90°), by intensity:
2θ (°)	d (Å)	I/Imax	index
35.99	2.495	100	1 0 1
48.16	1.889	64	1 0 3
21.73	4.090	64	0 0 2
34.22	2.620	29	1 0 0
61.28	1.513	22	1 1 0
65.82	1.419	20	1 1 2

Crystal structure
```
data_WS
_chemical_formula_sum 'W2 S2'
_cell_length_a 3.026
_cell_length_b 3.026
_cell_length_c 8.181
_cell_angle_alpha 90.00
_cell_angle_beta 90.00
_cell_angle_gamma 120.00
_space_group_name_H-M_alt 'P 1'
_space_group_IT_number 1
loop_
_space_group_symop_operation_xyz
'x,y,z'
loop_
_atom_site_label
_atom_site_fract_x
_atom_site_fract_y
_atom_site_fract_z
W1 0.333 0.667 0.000
W2 0.667 0.333 0.500
S1 0.333 0.667 0.304
S2 0.667 0.333 0.804
```